# 1
The following is a theoretical X-ray diffraction stick pattern of CrO2F2. It was derived from a structure optimized by DFT (GGA+U), using a wavelength of 1.5418 Å.
No peak broadening, texture or thermal motion is included.

Crystal structure
Cell: 6.0810 5.1617 9.1987 Å, 90.00 91.82 90.00°
Sites, in units of the cell vectors:
Cr: 0.1909 0.0645 0.3778
Cr: 0.1909 0.4355 0.8778
Cr: 0.8091 0.5645 0.1222
Cr: 0.8091 0.9355 0.6222
O: 0.3036 0.1824 0.9410
O: 0.3036 0.3176 0.4410
O: 0.3834 0.6011 0.8135
O: 0.3834 0.8989 0.3135
O: 0.6166 0.1011 0.6865
O: 0.6166 0.3989 0.1865
O: 0.6964 0.6824 0.5590
O: 0.6964 0.8176 0.0590
F: 0.0516 0.1766 0.2170
F: 0.0516 0.3234 0.7170
F: 0.1454 0.6336 0.0414
F: 0.1454 0.8664 0.5414
F: 0.8546 0.1336 0.4586
F: 0.8546 0.3664 0.9586
F: 0.9484 0.6766 0.2830
F: 0.9484 0.8234 0.7830

The 10 most intense peaks (2θ from 5° to 70°), in order of rising 2θ:
two_theta	Rel. int.
14.57	50
19.72	100
22.60	16
23.90	55
24.65	46
24.80	84
39.10	43
39.27	18
43.08	27
46.18	17

=====

# 2
The following is a theoretical X-ray diffraction stick pattern of MgFeAgO2. It was derived from a structure optimized by DFT (GGA+U), using a wavelength of 1.5418 Å.
No peak broadening, texture or thermal motion is included.

Crystal structure
Cell: 5.7293 3.2898 8.7867 Å, 90.00 101.60 90.00°
Sites, in units of the cell vectors:
Mg: 0.0000 0.0000 0.0000
Mg: 0.5000 0.5000 0.0000
Fe: 0.3395 0.5000 0.6091
Fe: 0.8395 0.0000 0.6091
Ag: 0.4208 0.0000 0.3101
Ag: 0.9208 0.5000 0.3101
O: 0.0200 0.5000 0.6505
O: 0.3355 0.0000 0.0110
O: 0.5200 0.0000 0.6505
O: 0.8355 0.5000 0.0110

The 10 most intense peaks (2θ from 5° to 70°), in order of rising 2θ:
two_theta	Rel. int.
10.28	100
31.17	63
31.51	17
31.89	39
32.19	84
35.59	17
36.09	25
39.78	52
40.18	26
55.65	24

=====

# 3
The following is a theoretical X-ray diffraction stick pattern of CoP4F12. It was derived from a structure optimized by DFT (GGA+U), using a wavelength of 1.5418 Å.
No peak broadening, texture or thermal motion is included.

Crystal structure
Cell: 7.8746 7.8746 13.0342 Å, 114.19 114.19 60.61°
Sites, in units of the cell vectors:
Co: 0.1034 0.8966 0.7500
Co: 0.8966 0.1034 0.2500
P: 0.0698 0.2070 0.8073
P: 0.2070 0.0698 0.3073
P: 0.2252 0.7424 0.6024
P: 0.2576 0.7748 0.8976
P: 0.7424 0.2252 0.1024
P: 0.7748 0.2576 0.3976
P: 0.7930 0.9302 0.6927
P: 0.9302 0.7930 0.1927
F: 0.1003 0.6413 0.4839
F: 0.1398 0.7277 0.9495
F: 0.1417 0.6123 0.2129
F: 0.1543 0.2989 0.9413
F: 0.1847 0.2651 0.7595
F: 0.2651 0.1847 0.2595
F: 0.2723 0.8602 0.5505
F: 0.2989 0.1543 0.4413
F: 0.3587 0.8997 0.0161
F: 0.3877 0.8583 0.2871
F: 0.4347 0.5550 0.6093
F: 0.4450 0.5653 0.8907
F: 0.5550 0.4347 0.1093
F: 0.5653 0.4450 0.3907
F: 0.6123 0.1417 0.7129
F: 0.6413 0.1003 0.9839
F: 0.7011 0.8457 0.5587
F: 0.7277 0.1398 0.4495
F: 0.7349 0.8153 0.7405
F: 0.8153 0.7349 0.2405
F: 0.8457 0.7011 0.0587
F: 0.8583 0.3877 0.7871
F: 0.8602 0.2723 0.0505
F: 0.8997 0.3587 0.5161

The 10 most intense peaks (2θ from 5° to 70°), in order of rising 2θ:
two_theta	Rel. int.
13.37	68
14.80	51
15.48	29
17.60	100
22.76	84
23.62	55
26.93	23
27.32	33
29.21	31
30.58	43

=====

# 4
The following is a theoretical X-ray diffraction stick pattern of CoP2O7. It was derived from a structure optimized by DFT (GGA+U), using a wavelength of 1.5418 Å.
No peak broadening, texture or thermal motion is included.

Crystal structure
Cell: 7.1070 8.2733 9.2822 Å, 90.00 114.12 90.00°
Sites, in units of the cell vectors:
Co: 0.2397 0.0847 0.3651
Co: 0.2397 0.4153 0.8651
Co: 0.7603 0.5847 0.1349
Co: 0.7603 0.9153 0.6349
P: 0.0388 0.7453 0.4664
P: 0.0388 0.7547 0.9664
P: 0.4329 0.7265 0.7524
P: 0.4329 0.7735 0.2524
P: 0.5671 0.2265 0.7476
P: 0.5671 0.2735 0.2476
P: 0.9612 0.2453 0.0336
P: 0.9612 0.2547 0.5336
O: 0.0257 0.1119 0.1624
O: 0.0257 0.3881 0.6624
O: 0.1083 0.5992 0.9167
O: 0.1083 0.9008 0.4167
O: 0.1283 0.2354 0.4711
O: 0.1283 0.2646 0.9711
O: 0.2352 0.6622 0.6031
O: 0.2352 0.8378 0.1031
O: 0.3876 0.6147 0.3167
O: 0.3876 0.8853 0.8167
O: 0.3992 0.2451 0.3083
O: 0.3992 0.2549 0.8083
O: 0.4742 0.5875 0.8730
O: 0.4742 0.9125 0.3730
O: 0.5258 0.0875 0.6270
O: 0.5258 0.4125 0.1270
O: 0.6008 0.7451 0.1917
O: 0.6008 0.7549 0.6917
O: 0.6124 0.1147 0.1833
O: 0.6124 0.3853 0.6833
O: 0.7648 0.1622 0.8969
O: 0.7648 0.3378 0.3969
O: 0.8717 0.7354 0.0289
O: 0.8717 0.7646 0.5289
O: 0.8917 0.0992 0.5833
O: 0.8917 0.4008 0.0833
O: 0.9743 0.6119 0.3376
O: 0.9743 0.8881 0.8376

The 10 most intense peaks (2θ from 5° to 70°), in order of rising 2θ:
two_theta	Rel. int.
14.97	60
17.16	72
21.48	27
23.05	30
25.39	40
29.06	74
29.38	77
29.53	100
42.68	26
57.55	22

=====

# 5
The following is a theoretical X-ray diffraction stick pattern of NaFe4Mo5O20. It was derived from a structure optimized by DFT (GGA+U), using a wavelength of 1.5418 Å.
No peak broadening, texture or thermal motion is included.

Crystal structure
Cell: 7.0486 7.1426 18.2319 Å, 87.54 87.88 79.42°
Sites, in units of the cell vectors:
Na: 0.1188 0.3326 0.3016
Na: 0.8812 0.6674 0.6984
Fe: 0.1745 0.0818 0.1132
Fe: 0.1855 0.8274 0.4927
Fe: 0.2223 0.5743 0.8749
Fe: 0.2499 0.3010 0.7335
Fe: 0.7501 0.6990 0.2665
Fe: 0.7777 0.4257 0.1251
Fe: 0.8145 0.1726 0.5073
Fe: 0.8255 0.9182 0.8868
Mo: 0.2173 0.8245 0.2847
Mo: 0.2486 0.5443 0.0869
Mo: 0.2704 0.3082 0.5284
Mo: 0.2719 0.0610 0.9041
Mo: 0.3185 0.7801 0.6911
Mo: 0.6815 0.2199 0.3089
Mo: 0.7281 0.9390 0.0959
Mo: 0.7296 0.6918 0.4716
Mo: 0.7514 0.4557 0.9131
Mo: 0.7827 0.1755 0.7153
O: 0.0474 0.6648 0.2688
O: 0.0871 0.3849 0.1251
O: 0.1237 0.1366 0.5026
O: 0.1398 0.8769 0.8810
O: 0.1620 0.0476 0.2339
O: 0.1702 0.7877 0.1110
O: 0.1821 0.7985 0.6102
O: 0.1972 0.8797 0.3784
O: 0.2021 0.5288 0.4788
O: 0.2067 0.1185 0.9958
O: 0.2244 0.5966 0.7513
O: 0.2304 0.2827 0.8450
O: 0.2457 0.3485 0.6265
O: 0.2517 0.5342 0.9901
O: 0.2838 0.0138 0.7308
O: 0.4366 0.2929 0.3312
O: 0.4629 0.7139 0.2640
O: 0.4788 0.0347 0.1044
O: 0.4809 0.4589 0.1233
O: 0.4857 0.7875 0.4928
O: 0.5143 0.2125 0.5072
O: 0.5191 0.5411 0.8767
O: 0.5212 0.9653 0.8956
O: 0.5371 0.2861 0.7360
O: 0.5634 0.7071 0.6688
O: 0.7162 0.9862 0.2692
O: 0.7483 0.4658 0.0099
O: 0.7543 0.6515 0.3735
O: 0.7696 0.7173 0.1550
O: 0.7756 0.4034 0.2487
O: 0.7933 0.8815 0.0042
O: 0.7979 0.4712 0.5212
O: 0.8028 0.1203 0.6216
O: 0.8179 0.2015 0.3898
O: 0.8298 0.2123 0.8890
O: 0.8380 0.9524 0.7661
O: 0.8602 0.1231 0.1190
O: 0.8763 0.8634 0.4974
O: 0.9129 0.6151 0.8749
O: 0.9526 0.3352 0.7312

The 10 most intense peaks (2θ from 5° to 70°), in order of rising 2θ:
two_theta	Rel. int.
21.94	19
24.45	100
25.72	91
26.04	25
26.51	24
27.00	13
28.02	12
30.90	15
36.33	12
51.34	18

=====

# 6
The following is a theoretical X-ray diffraction stick pattern of Ba2MgMo4Se4O22. It was derived from a structure optimized by DFT (GGA+U), using a wavelength of 1.5418 Å.
No peak broadening, texture or thermal motion is included.

Crystal structure
Cell: 7.7171 8.2789 9.2362 Å, 116.08 91.49 90.76°
Sites, in units of the cell vectors:
Ba: 0.0000 0.0000 0.0000
Ba: 0.4909 0.5326 0.0517
Mg: 0.9238 0.0710 0.3747
Mo: 0.4742 0.1245 0.2684
Mo: 0.4769 0.8988 0.8256
Mo: 0.9692 0.4364 0.8388
Mo: 0.9798 0.6606 0.2623
Se: 0.1310 0.4062 0.4711
Se: 0.1470 0.0309 0.6460
Se: 0.6134 0.1516 0.6316
Se: 0.6231 0.5772 0.4631
O: 0.0002 0.9023 0.4842
O: 0.1645 0.1930 0.3121
O: 0.1939 0.4399 0.8743
O: 0.1965 0.6029 0.2325
O: 0.2022 0.8919 0.7349
O: 0.4029 0.9032 0.2160
O: 0.4180 0.0803 0.0284
O: 0.4351 0.7098 0.8590
O: 0.4691 0.2131 0.5174
O: 0.4731 0.1353 0.7663
O: 0.4747 0.4164 0.3273
O: 0.4855 0.7539 0.5667
O: 0.7029 0.3607 0.7577
O: 0.7035 0.9192 0.8406
O: 0.7073 0.6547 0.3305
O: 0.7157 0.1283 0.2713
O: 0.8890 0.4686 0.0404
O: 0.9331 0.8327 0.1868
O: 0.9420 0.6439 0.8349
O: 0.9706 0.4816 0.3893
O: 0.9844 0.1459 0.7756
O: 0.9992 0.3080 0.5718

The 10 most intense peaks (2θ from 5° to 70°), in order of rising 2θ:
two_theta	Rel. int.
21.47	70
22.81	56
23.07	100
23.95	42
24.12	37
25.82	33
30.78	51
31.07	54
31.65	70
38.41	29

=====

# 7
The following is a theoretical X-ray diffraction stick pattern of Ba2MnNbO6. It was derived from a structure optimized by DFT (GGA+U), using a wavelength of 1.5418 Å.
No peak broadening, texture or thermal motion is included.

Crystal structure
Cell: 5.9092 8.0814 11.7714 Å, 90.00 90.04 90.00°
Sites, in units of the cell vectors:
Ba: 0.2394 0.0004 0.1255
Ba: 0.2394 0.4996 0.1255
Ba: 0.2601 0.0004 0.6254
Ba: 0.2601 0.4996 0.6254
Ba: 0.7399 0.9996 0.3746
Ba: 0.7399 0.5004 0.3746
Ba: 0.7606 0.9996 0.8745
Ba: 0.7606 0.5004 0.8745
Mn: 0.2400 0.2500 0.3740
Mn: 0.2605 0.2500 0.8741
Mn: 0.7395 0.7500 0.1259
Mn: 0.7600 0.7500 0.6260
Nb: 0.2368 0.7500 0.3752
Nb: 0.2636 0.7500 0.8752
Nb: 0.7364 0.2500 0.1248
Nb: 0.7632 0.2500 0.6248
O: 0.0195 0.2500 0.5013
O: 0.0273 0.2500 0.7506
O: 0.0323 0.7500 0.9931
O: 0.0410 0.7500 0.7532
O: 0.2319 0.0025 0.3743
O: 0.2319 0.4975 0.3743
O: 0.2685 0.0025 0.8744
O: 0.2685 0.4975 0.8744
O: 0.4594 0.7500 0.2534
O: 0.4671 0.7500 0.4934
O: 0.4721 0.2500 0.2504
O: 0.4812 0.2500 0.0012
O: 0.5188 0.7500 0.9988
O: 0.5279 0.7500 0.7496
O: 0.5329 0.2500 0.5066
O: 0.5406 0.2500 0.7466
O: 0.7315 0.5025 0.1256
O: 0.7315 0.9975 0.1256
O: 0.7681 0.5025 0.6257
O: 0.7681 0.9975 0.6257
O: 0.9590 0.2500 0.2468
O: 0.9677 0.2500 0.0069
O: 0.9727 0.7500 0.2494
O: 0.9805 0.7500 0.4987

The 10 most intense peaks (2θ from 5° to 70°), in order of rising 2θ:
two_theta	Rel. int.
30.25	26
30.37	26
30.81	100
43.40	33
44.86	15
54.08	10
54.10	10
54.24	20
55.10	19
64.19	19

=====

# 8
The following is a theoretical X-ray diffraction stick pattern of MgCr2Fe2O6. It was derived from a structure optimized by DFT (GGA+U), using a wavelength of 1.5418 Å.
No peak broadening, texture or thermal motion is included.

Crystal structure
Cell: 5.2132 5.2412 5.6768 Å, 115.17 91.68 117.57°
Sites, in units of the cell vectors:
Mg: 0.0000 0.0000 0.0000
Cr: 0.2518 0.5095 0.8062
Cr: 0.4425 0.8893 0.3717
Fe: 0.6297 0.2535 0.9136
Fe: 0.7951 0.5845 0.4324
O: 0.0459 0.7008 0.1034
O: 0.2296 0.7899 0.6473
O: 0.3907 0.4355 0.1272
O: 0.5237 0.3515 0.6232
O: 0.6996 0.0957 0.1659
O: 0.8120 0.0274 0.6551

The 10 most intense peaks (2θ from 5° to 70°), in order of rising 2θ:
two_theta	Rel. int.
20.40	35
20.55	39
33.10	100
34.31	73
34.44	72
35.02	46
36.39	57
37.10	67
50.70	34
51.29	57

=====

# 9
The following is a theoretical X-ray diffraction stick pattern of MgAl2Co2O6. It was derived from a structure optimized by DFT (GGA+U), using a wavelength of 1.5418 Å.
No peak broadening, texture or thermal motion is included.

Crystal structure
Cell: 5.0347 5.0362 5.6687 Å, 90.07 116.22 119.96°
Sites, in units of the cell vectors:
Mg: 0.0000 0.0000 0.0000
Al: 0.3528 0.1766 0.5297
Al: 0.6472 0.8234 0.4703
Co: 0.2479 0.6240 0.8732
Co: 0.7521 0.3760 0.1268
O: 0.1492 0.9471 0.7301
O: 0.2179 0.7981 0.2691
O: 0.4716 0.4194 0.2692
O: 0.5284 0.5806 0.7308
O: 0.7821 0.2019 0.7309
O: 0.8508 0.0529 0.2699

The 10 most intense peaks (2θ from 5° to 70°), in order of rising 2θ:
two_theta	Rel. int.
31.94	66
35.65	100
36.96	26
37.04	51
40.28	39
40.37	19
52.21	23
52.30	38
64.04	49
64.99	17